[1]
Structure and computed PXRD pattern of AcFeO3 (a structure optimized by DFT (GGA+U); Cu Kα (λ = 1.5418 Å)).

Structure:
Cell: 4.0144 4.0144 4.0144 Å, 90.00 90.00 90.00°
Space group Pm-3m (No. 221)
One atom of each set of equivalent atoms:
1 Ac 0.0000 0.0000 0.0000 (multiplicity 1)
2 Fe 0.5000 0.5000 0.5000 (multiplicity 1)
3 O 0.0000 0.5000 0.5000 (multiplicity 3)

Principal peaks in the range 2θ = 5–70°, in order of rising 2θ:
| two_theta | d/Å | I/Imax | (hkl) |
| --- | --- | --- | --- |
| 22.14 | 4.014 | 34 | 1 0 0 |
| 31.52 | 2.839 | 100 | 1 1 0 |
| 38.86 | 2.318 | 24 | 1 1 1 |
| 45.17 | 2.007 | 29 | 2 0 0 |
| 50.86 | 1.795 | 18 | 2 1 0 |
| 56.12 | 1.639 | 40 | 2 1 1 |
| 65.80 | 1.419 | 18 | 2 2 0 |

[2]
Structure and computed PXRD pattern of LiCrP2O8 (a structure optimized by DFT (GGA+U); Cu Kα (λ = 1.5418 Å)).

Structure:
Cell: 5.1827 10.5266 11.0855 Å, 90.00 90.00 90.00°
Space group P2_12_12_1 (No. 19)
One atom of each set of equivalent atoms:
1 Li 0.2194 0.2341 0.3902 (multiplicity 4)
2 Cr 0.2337 0.4026 0.1429 (multiplicity 4)
3 P 0.2395 0.0923 0.0384 (multiplicity 4)
4 P 0.2428 0.1405 0.6753 (multiplicity 4)
5 O 0.0119 0.5527 0.5224 (multiplicity 4)
6 O 0.0242 0.9582 0.4703 (multiplicity 4)
7 O 0.0247 0.6736 0.7729 (multiplicity 4)
8 O 0.0364 0.8241 0.2624 (multiplicity 4)
9 O 0.2047 0.7968 0.0558 (multiplicity 4)
10 O 0.2452 0.0140 0.1642 (multiplicity 4)
11 O 0.2450 0.7693 0.5709 (multiplicity 4)
12 O 0.2459 0.5356 0.2126 (multiplicity 4)

Principal peaks in the range 2θ = 5–70°, in order of rising 2θ:
| two_theta | d/Å | I/Imax | (hkl) |
| --- | --- | --- | --- |
| 11.59 | 7.633 | 26 | 0 1 1 |
| 18.66 | 4.755 | 69 | 0 2 1 |
| 23.50 | 3.786 | 100 | 1 0 2 |
| 25.00 | 3.562 | 12 | 1 1 2 |
| 26.65 | 3.345 | 27 | 0 3 1 |
| 30.91 | 2.893 | 9 | 1 1 3 |
| 34.33 | 2.612 | 29 | 1 2 3 |
| 34.61 | 2.591 | 14 | 2 0 0 |
| 42.15 | 2.144 | 14 | 2 2 2 |
| 57.43 | 1.604 | 12 | 2 2 5 |

[3]
Structure and computed PXRD pattern of LiFeF4 (a structure optimized by DFT (GGA+U); Cu Kα (λ = 1.5418 Å)).

Structure:
Cell: 5.8209 8.6539 6.4314 Å, 90.00 90.00 90.00°
Space group Cmcm (No. 63)
One atom of each set of equivalent atoms:
1 Li 0.0000 0.0000 0.0000 (multiplicity 4)
2 Fe 0.0000 0.3529 0.2500 (multiplicity 4)
3 F 0.0000 0.2290 0.0196 (multiplicity 8)
4 F 0.2438 0.0175 0.7500 (multiplicity 8)

Principal peaks in the range 2θ = 5–70°, in order of rising 2θ:
| two_theta | d/Å | I/Imax | (hkl) |
| --- | --- | --- | --- |
| 23.03 | 3.862 | 100 | 1 1 1 |
| 24.80 | 3.590 | 64 | 0 2 1 |
| 27.74 | 3.216 | 17 | 0 0 2 |
| 30.72 | 2.910 | 18 | 2 0 0 |
| 33.48 | 2.677 | 27 | 1 1 2 |
| 34.74 | 2.583 | 32 | 0 2 2 |
| 37.23 | 2.415 | 39 | 2 2 0 |
| 39.87 | 2.261 | 19 | 2 2 1 |
| 45.00 | 2.015 | 25 | 1 3 2 |
| 60.61 | 1.528 | 31 | 2 4 2 |

[4]
Structure and computed PXRD pattern of LiV6O7F5 (a structure optimized by DFT (GGA+U); Cu Kα (λ = 1.5418 Å)).

Structure:
Cell: 4.9406 5.6736 7.8193 Å, 84.38 87.53 85.44°
Space group P1 (No. 1)
One atom of each set of equivalent atoms:
1 Li 0.0000 0.0000 0.0000 (multiplicity 1)
2 V 0.0053 0.0327 0.4587 (multiplicity 1)
3 V 0.0600 0.4241 0.1234 (multiplicity 1)
4 V 0.4820 0.5549 0.4579 (multiplicity 1)
5 V 0.4962 0.8681 0.1244 (multiplicity 1)
6 V 0.5030 0.2218 0.7808 (multiplicity 1)
7 V 0.9472 0.6708 0.7626 (multiplicity 1)
8 O 0.1755 0.0858 0.2091 (multiplicity 1)
9 O 0.1791 0.7351 0.5436 (multiplicity 1)
10 O 0.1856 0.4038 0.8763 (multiplicity 1)
11 O 0.3356 0.5866 0.2198 (multiplicity 1)
12 O 0.6728 0.4990 0.6756 (multiplicity 1)
13 O 0.8090 0.0076 0.6891 (multiplicity 1)
14 O 0.8257 0.7000 0.0214 (multiplicity 1)
15 F 0.3077 0.2360 0.5448 (multiplicity 1)
16 F 0.3214 0.9113 0.8851 (multiplicity 1)
17 F 0.6775 0.1834 0.0236 (multiplicity 1)
18 F 0.6881 0.8531 0.3591 (multiplicity 1)
19 F 0.8127 0.3558 0.3575 (multiplicity 1)

Principal peaks in the range 2θ = 5–70°, in order of rising 2θ:
| two_theta | d/Å | I/Imax | (hkl) |
| --- | --- | --- | --- |
| 24.82 | 3.587 | 100 | 1 1 1 |
| 27.10 | 3.291 | 98 | -1 1 1 |
| 34.25 | 2.618 | 20 | 1 1 -2 |
| 34.63 | 2.590 | 47 | 0 0 3 |
| 34.91 | 2.570 | 23 | 0 2 -1 |
| 38.62 | 2.331 | 30 | 1 2 -1 |
| 50.59 | 1.804 | 17 | 1 1 4 |
| 50.91 | 1.794 | 16 | 2 2 2 |
| 55.88 | 1.645 | 18 | -2 2 2 |
| 60.37 | 1.533 | 18 | 0 2 -4 |

[5]
Structure and computed PXRD pattern of LiMnCoO4 (a structure optimized by DFT (GGA+U); Cu Kα (λ = 1.5418 Å)).

Structure:
Cell: 5.8072 5.9201 8.3635 Å, 90.00 90.00 90.00°
Space group Imma (No. 74)
One atom of each set of equivalent atoms:
1 Li 0.0000 0.0000 0.0000 (multiplicity 4)
2 Mn 0.2500 0.2500 0.2500 (multiplicity 4)
3 Co 0.0000 0.0000 0.5000 (multiplicity 4)
4 O 0.0000 0.0346 0.2535 (multiplicity 8)
5 O 0.2340 0.2500 0.4806 (multiplicity 8)

Principal peaks in the range 2θ = 5–70°, in order of rising 2θ:
| two_theta | d/Å | I/Imax | (hkl) |
| --- | --- | --- | --- |
| 18.36 | 4.832 | 100 | 0 1 1 |
| 18.60 | 4.770 | 76 | 1 0 1 |
| 35.60 | 2.522 | 10 | 0 1 3 |
| 35.71 | 2.514 | 35 | 1 0 3 |
| 36.09 | 2.489 | 21 | 2 1 1 |
| 37.22 | 2.416 | 13 | 0 2 2 |
| 37.72 | 2.385 | 11 | 2 0 2 |
| 43.27 | 2.091 | 36 | 0 0 4 |
| 43.67 | 2.073 | 70 | 2 2 0 |
| 63.16 | 1.472 | 37 | 2 2 4 |